For La12Dy5Er, a cell relaxed with PBE gives the simulated powder diffraction line list in this record (a wavelength of 1.5418 Å).
Intensities are scaled so that the largest is 100.

Peak list (6 most intense, 15 to 90 degrees two-theta, by intensity)
2theta	Rel. int.
31.06	100.0
32.66	89.1
29.87	83.2
29.23	76.9
58.94	72.7
49.56	61.8

Unit cell a=6.374 b=6.374 c=18.070 alpha=93.31 beta=93.31 gamma=120.04
Sites, in units of the cell vectors:
La 0.054 0.386 0.164
La 0.113 0.113 0.337
La 0.220 0.554 0.663
La 0.279 0.279 0.836
La 0.386 0.054 0.164
La 0.446 0.780 0.337
La 0.554 0.220 0.663
La 0.614 0.946 0.836
La 0.721 0.721 0.164
La 0.780 0.446 0.337
La 0.887 0.887 0.663
La 0.946 0.614 0.836
Dy 0.167 0.833 0.500
Dy 0.333 0.667 0.000
Dy 0.500 0.500 0.500
Dy 0.667 0.333 0.000
Dy 0.833 0.167 0.500
Er 0.000 0.000 0.000

For La5Er2In, a cell relaxed with PBE gives the simulated powder diffraction line list in this record (a wavelength of 1.5418 Å).
Intensities are scaled so that the largest is 100.

Peak list (6 most intense, 15 to 90 degrees two-theta, by intensity)
2theta	Rel. int.
30.33	100.0
30.52	98.1
34.74	69.6
51.14	46.2
36.32	30.8
59.44	29.3

Unit cell a=7.340 b=9.893 c=7.270 alpha=90.00 beta=90.00 gamma=90.00
Sites, in units of the cell vectors:
La 0.000 0.000 0.000
La 0.249 0.252 0.754
La 0.249 0.748 0.754
La 0.251 0.248 0.254
La 0.251 0.752 0.254
La 0.500 0.500 0.500
La 0.749 0.248 0.254
La 0.749 0.752 0.254
La 0.751 0.252 0.754
La 0.751 0.748 0.754
Er 0.000 0.000 0.505
Er 0.000 0.500 0.012
Er 0.500 0.000 0.512
Er 0.500 0.500 0.005
In 0.000 0.500 0.498
In 0.500 0.000 0.998

For Nd3ZrSb5, a cell relaxed with PBE gives the simulated powder diffraction line list in this record (a wavelength of 1.5418 Å).
Intensities are scaled so that the largest is 100.

Peak list (6 most intense, 15 to 90 degrees two-theta, by intensity)
2theta	Rel. int.
34.12	100.0
32.36	90.2
31.88	72.6
47.73	28.5
58.82	25.0
68.70	20.0

Unit cell a=9.584 b=9.584 c=6.285 alpha=90.00 beta=90.00 gamma=120.00
Sites, in units of the cell vectors:
Nd 0.000 0.381 0.250
Nd 0.000 0.619 0.750
Nd 0.381 0.000 0.250
Nd 0.381 0.381 0.750
Nd 0.619 0.000 0.750
Nd 0.619 0.619 0.250
Zr 0.000 0.000 0.000
Zr 0.000 0.000 0.500
Sb 0.000 0.265 0.750
Sb 0.000 0.735 0.250
Sb 0.265 0.000 0.750
Sb 0.265 0.265 0.250
Sb 0.333 0.667 0.000
Sb 0.333 0.667 0.500
Sb 0.667 0.333 0.000
Sb 0.667 0.333 0.500
Sb 0.735 0.000 0.250
Sb 0.735 0.735 0.750

For CePdI6, a cell relaxed with PBE gives the simulated powder diffraction line list in this record (a wavelength of 1.5418 Å).
Intensities are scaled so that the largest is 100.

Peak list (6 most intense, 15 to 90 degrees two-theta, by intensity)
2theta	Rel. int.
21.77	100.0
22.31	95.7
26.35	81.6
23.96	65.3
45.54	62.6
33.22	59.6

Unit cell a=6.526 b=7.816 c=8.507 alpha=64.06 beta=69.97 gamma=87.08
Sites, in units of the cell vectors:
Ce 0.000 0.000 0.000
Pd 0.500 0.500 0.000
I 0.023 0.803 0.376
I 0.301 0.383 0.833
I 0.415 0.849 0.809
I 0.585 0.151 0.191
I 0.699 0.617 0.167
I 0.977 0.197 0.624

For Cs3CdC2O6, a cell relaxed with PBE gives the simulated powder diffraction line list in this record (a wavelength of 1.5418 Å).
Intensities are scaled so that the largest is 100.

Peak list (6 most intense, 15 to 90 degrees two-theta, by intensity)
2theta	Rel. int.
28.79	100.0
28.96	85.3
41.29	43.0
20.31	35.6
51.23	28.8
35.63	25.5

Unit cell a=6.166 b=6.166 c=7.619 alpha=90.00 beta=90.00 gamma=120.00
Sites, in units of the cell vectors:
Cs 0.000 0.000 0.000
Cs 0.333 0.667 0.706
Cs 0.667 0.333 0.294
Cd 0.000 0.000 0.500
C 0.333 0.667 0.275
C 0.667 0.333 0.725
O 0.211 0.421 0.275
O 0.211 0.789 0.275
O 0.421 0.211 0.725
O 0.579 0.789 0.275
O 0.789 0.211 0.725
O 0.789 0.579 0.725

For SrAl3Ag10, a cell relaxed with PBE gives the simulated powder diffraction line list in this record (a wavelength of 1.5418 Å).
Intensities are scaled so that the largest is 100.

Peak list (6 most intense, 15 to 90 degrees two-theta, by intensity)
2theta	Rel. int.
35.37	100.0
40.46	47.8
30.31	35.7
59.47	25.2
38.62	21.8
45.63	16.0

Unit cell a=9.325 b=9.325 c=9.325 alpha=60.00 beta=60.00 gamma=60.00
Sites, in units of the cell vectors:
Sr 0.250 0.250 0.250
Sr 0.750 0.750 0.750
Al 0.239 0.239 0.761
Al 0.239 0.761 0.239
Al 0.239 0.761 0.761
Al 0.761 0.239 0.239
Al 0.761 0.239 0.761
Al 0.761 0.761 0.239
Ag 0.113 0.113 0.113
Ag 0.113 0.113 0.662
Ag 0.113 0.662 0.113
Ag 0.153 0.500 0.500
Ag 0.153 0.500 0.847
Ag 0.153 0.847 0.500
Ag 0.338 0.887 0.887
Ag 0.500 0.153 0.500
Ag 0.500 0.153 0.847
Ag 0.500 0.500 0.153
Ag 0.500 0.500 0.847
Ag 0.500 0.847 0.153
Ag 0.500 0.847 0.500
Ag 0.662 0.113 0.113
Ag 0.847 0.153 0.500
Ag 0.847 0.500 0.153
Ag 0.847 0.500 0.500
Ag 0.887 0.338 0.887
Ag 0.887 0.887 0.338
Ag 0.887 0.887 0.887